Fe6SiB: computed XRD peak list (a wavelength of 1.5418 Å), based on DFT lattice parameters and positions (GGA-PBE).

Largest 10 diffraction maxima, most intense first, 2θ = 10–90°:
hkl  2θ (°)  d [Å]  I (rel.)
2 0 2  41.60  2.171  1000
1 2 1  44.95  2.016  777
2 1 1  36.42  2.467  687
0 1 3  53.12  1.724  644
0 2 1  42.89  2.109  614
3 1 0  44.12  2.053  543
2 2 1  50.75  1.799  535
2 1 2  46.33  1.960  467
1 1 2  40.05  2.251  442
3 1 1  47.17  1.927  406

Cell and atoms:
Cell lengths 6.898, 4.554, 5.588 Å; angles 90.00, 90.00, 90.00 degrees
Space group Pmc2_1 (No. 26)
Unique sites:
Fe 0.000 0.121 0.000 [2 per cell]
Fe 0.181 0.395 0.649 [4 per cell]
Fe 0.282 0.121 0.287 [4 per cell]
Fe 0.500 0.351 0.969 [2 per cell]
Si 0.500 0.169 0.586 [2 per cell]
B 0.000 0.327 0.356 [2 per cell]